(1)
Calculated powder X-ray diffraction pattern
Compound: AcLaCuSb
Radiation: CuKα
Structure: DFT lattice parameters and positions (PBE)
Intensities are scaled so that the largest is 100.

Cell and atoms:
Cell lengths 7.789, 7.789, 7.789 Å; angles 90.00, 90.00, 90.00 degrees
Fractional coordinates of all 16 atoms:
Ac 0.000 0.000 0.000
Ac 0.000 0.500 0.500
Ac 0.500 0.000 0.500
Ac 0.500 0.500 0.000
La 0.000 0.000 0.500
La 0.000 0.500 0.000
La 0.500 0.000 0.000
La 0.500 0.500 0.500
Cu 0.250 0.250 0.750
Cu 0.250 0.750 0.250
Cu 0.750 0.250 0.250
Cu 0.750 0.750 0.750
Sb 0.250 0.250 0.250
Sb 0.250 0.750 0.750
Sb 0.750 0.250 0.750
Sb 0.750 0.750 0.250

Main lines, by angle (15 to 90 degrees two-theta):
2theta  I/Imax
19.74  7.0
22.83  10.9
32.51  100.0
38.33  4.2
46.64  18.3
52.54  5.1
58.01  38.1
68.10  11.7
77.51  16.3
86.58  4.2

---

(2)
Calculated powder X-ray diffraction pattern
Compound: Li4AcCu2
Radiation: CuKα
Structure: DFT lattice parameters and positions (PBE)
Intensities are scaled so that the largest is 100.

Cell and atoms:
Cell lengths 4.124, 16.764, 4.141 Å; angles 90.00, 90.00, 90.00 degrees
Fractional coordinates of all 14 atoms:
Li 0.000 0.180 0.000
Li 0.000 0.317 0.500
Li 0.000 0.683 0.500
Li 0.000 0.820 0.000
Li 0.500 0.183 0.500
Li 0.500 0.320 0.000
Li 0.500 0.680 0.000
Li 0.500 0.817 0.500
Ac 0.000 0.500 0.000
Ac 0.500 0.000 0.000
Cu 0.000 0.077 0.500
Cu 0.000 0.923 0.500
Cu 0.500 0.423 0.500
Cu 0.500 0.577 0.500

Main lines, by angle (15 to 90 degrees two-theta):
2theta  I/Imax
23.97  16.6
26.87  26.5
30.34  34.1
31.06  100.0
34.47  35.8
34.64  44.1
38.88  30.9
43.71  34.6
56.83  17.0
60.07  17.1

---

(3)
Calculated powder X-ray diffraction pattern
Compound: Li5Ac2Cu12
Radiation: CuKα
Structure: DFT lattice parameters and positions (PBE)
Intensities are scaled so that the largest is 100.

Cell and atoms:
Cell lengths 6.700, 6.700, 6.700 Å; angles 83.01, 83.01, 83.01 degrees
Fractional coordinates of all 19 atoms:
Li 0.000 0.000 0.500
Li 0.000 0.500 0.000
Li 0.089 0.089 0.089
Li 0.500 0.000 0.000
Li 0.911 0.911 0.911
Ac 0.350 0.350 0.350
Ac 0.650 0.650 0.650
Cu 0.000 0.292 0.708
Cu 0.000 0.708 0.292
Cu 0.159 0.661 0.661
Cu 0.292 0.000 0.708
Cu 0.292 0.708 0.000
Cu 0.339 0.339 0.841
Cu 0.339 0.841 0.339
Cu 0.661 0.159 0.661
Cu 0.661 0.661 0.159
Cu 0.708 0.000 0.292
Cu 0.708 0.292 0.000
Cu 0.841 0.339 0.339

Main lines, by angle (15 to 90 degrees two-theta):
2theta  I/Imax
20.59  19.4
26.97  29.7
28.86  42.6
31.55  36.3
35.00  39.7
36.29  43.9
40.64  32.1
40.95  100.0
41.89  27.0
59.75  22.3

---

(4)
Calculated powder X-ray diffraction pattern
Compound: Li3AcCu8
Radiation: CuKα
Structure: DFT lattice parameters and positions (PBE)
Intensities are scaled so that the largest is 100.

Cell and atoms:
Cell lengths 5.056, 5.056, 8.515 Å; angles 90.00, 90.00, 120.00 degrees
Fractional coordinates of all 12 atoms:
Li 0.000 0.000 0.000
Li 0.000 0.000 0.320
Li 0.333 0.667 0.924
Ac 0.333 0.667 0.519
Cu 0.331 0.165 0.724
Cu 0.500 0.001 0.192
Cu 0.500 0.500 0.192
Cu 0.667 0.333 0.443
Cu 0.667 0.333 0.955
Cu 0.835 0.165 0.724
Cu 0.835 0.669 0.724
Cu 0.999 0.500 0.192

Main lines, by angle (15 to 90 degrees two-theta):
2theta  I/Imax
20.28  61.3
22.84  100.0
29.26  62.3
37.09  32.1
37.77  65.8
41.54  98.2
42.64  97.7
46.65  31.5
65.26  26.3
69.99  26.8

---

(5)
Calculated powder X-ray diffraction pattern
Compound: LiAc2CuPt2
Radiation: CuKα
Structure: DFT lattice parameters and positions (PBE)
Intensities are scaled so that the largest is 100.

Cell and atoms:
Cell lengths 8.750, 8.750, 8.750 Å; angles 139.54, 58.58, 139.51 degrees
Fractional coordinates of all 12 atoms:
Li 0.250 0.250 0.000
Li 0.750 0.750 0.000
Ac 0.160 0.745 0.905
Ac 0.340 0.245 0.585
Ac 0.660 0.755 0.415
Ac 0.840 0.255 0.095
Cu 0.250 0.750 0.500
Cu 0.750 0.250 0.500
Pt 0.119 0.249 0.367
Pt 0.381 0.749 0.130
Pt 0.619 0.251 0.870
Pt 0.881 0.751 0.633

Main lines, by angle (15 to 90 degrees two-theta):
2theta  I/Imax
23.31  54.3
29.51  100.0
31.41  49.0
37.94  99.2
42.22  55.5
48.79  31.4
52.52  22.7
53.56  22.5
69.57  19.8
74.36  28.1

---

(6)
Calculated powder X-ray diffraction pattern
Compound: AcMgCu
Radiation: CuKα
Structure: DFT lattice parameters and positions (PBE)
Intensities are scaled so that the largest is 100.

Cell and atoms:
Cell lengths 10.921, 4.530, 7.608 Å; angles 90.00, 123.32, 90.00 degrees
Fractional coordinates of all 12 atoms:
Ac 0.074 0.000 0.322
Ac 0.426 0.500 0.678
Ac 0.574 0.500 0.322
Ac 0.926 0.000 0.678
Mg 0.196 0.500 0.084
Mg 0.304 0.000 0.916
Mg 0.696 0.000 0.084
Mg 0.804 0.500 0.916
Cu 0.134 0.500 0.674
Cu 0.366 0.000 0.326
Cu 0.634 0.000 0.674
Cu 0.866 0.500 0.326

Main lines, by angle (15 to 90 degrees two-theta):
2theta  I/Imax
21.91  81.0
23.75  40.1
28.85  79.9
29.72  30.5
31.22  100.0
31.60  77.1
33.67  45.8
33.80  78.2
39.80  44.8
44.22  45.7